Calculated powder diffraction line list of DyErNi2C2N2 for CuKα, from a cell relaxed with GGA-PBE.
Kinematic intensities with the Lorentz-polarization factor, no thermal factor.

The 10 most intense peaks (5° ≤ 2θ ≤ 70°), by angle:
2θ = 28.68°, 3.112 Å, rel. 100.0
2θ = 35.87°, 2.504 Å, rel. 64.1
2θ = 36.94°, 2.433 Å, rel. 70.2
2θ = 39.02°, 2.308 Å, rel. 61.3
2θ = 44.77°, 2.024 Å, rel. 53.1
2θ = 53.24°, 1.720 Å, rel. 48.6
2θ = 57.13°, 1.612 Å, rel. 22.6
2θ = 61.59°, 1.506 Å, rel. 25.9
2θ = 65.87°, 1.418 Å, rel. 22.3
2θ = 66.57°, 1.405 Å, rel. 31.1

Atomic structure:
Lattice parameters (Å, degrees): 3.441 3.441 7.300 90.00 90.00 90.00
Sites, in units of the cell vectors:
Dy  0.000  0.000  0.000
Er  0.500  0.500  0.656
Ni  0.000  0.500  0.328
Ni  0.500  0.000  0.328
C  0.000  0.000  0.488
C  0.500  0.500  0.165
N  0.000  0.000  0.681
N  0.500  0.500  0.972

=====

Calculated powder diffraction line list of DyEr2Sb3 for CuKα, from a cell relaxed with GGA-PBE.
Kinematic intensities with the Lorentz-polarization factor, no thermal factor.

The 8 most intense peaks (5° ≤ 2θ ≤ 70°), by angle:
2θ = 25.03°, 3.558 Å, rel. 4.1
2θ = 28.98°, 3.081 Å, rel. 100.0
2θ = 41.44°, 2.179 Å, rel. 76.1
2θ = 49.03°, 1.858 Å, rel. 2.2
2θ = 51.36°, 1.779 Å, rel. 27.1
2θ = 60.05°, 1.541 Å, rel. 12.7
2θ = 66.09°, 1.414 Å, rel. 1.0
2θ = 68.04°, 1.378 Å, rel. 34.8

Atomic structure:
Lattice parameters (Å, degrees): 4.356 4.356 10.682 90.00 90.00 120.00
Sites, in units of the cell vectors:
Dy  0.000  0.000  0.000
Er  0.333  0.667  0.667
Er  0.667  0.333  0.333
Sb  0.000  0.000  0.500
Sb  0.333  0.667  0.167
Sb  0.667  0.333  0.833

=====

Calculated powder diffraction line list of Gd3Zn11 for CuKα, from a cell relaxed with GGA-PBE.
Kinematic intensities with the Lorentz-polarization factor, no thermal factor.

The 10 most intense peaks (5° ≤ 2θ ≤ 70°), by angle:
2θ = 34.25°, 2.618 Å, rel. 29.8
2θ = 35.48°, 2.530 Å, rel. 100.0
2θ = 35.83°, 2.506 Å, rel. 36.1
2θ = 36.71°, 2.448 Å, rel. 37.3
2θ = 36.88°, 2.437 Å, rel. 25.9
2θ = 39.33°, 2.291 Å, rel. 27.0
2θ = 41.07°, 2.198 Å, rel. 48.0
2θ = 41.69°, 2.166 Å, rel. 20.2
2θ = 46.50°, 1.953 Å, rel. 20.3
2θ = 69.48°, 1.353 Å, rel. 22.1

Atomic structure:
Lattice parameters (Å, degrees): 8.162 8.162 8.162 148.76 114.40 74.45
Sites, in units of the cell vectors:
Gd  0.000  0.000  0.000
Gd  0.295  0.295  0.000
Gd  0.705  0.705  0.000
Zn  0.018  0.658  0.361
Zn  0.142  0.860  0.281
Zn  0.297  0.658  0.639
Zn  0.316  0.500  0.816
Zn  0.421  0.140  0.281
Zn  0.500  0.000  0.500
Zn  0.579  0.860  0.719
Zn  0.684  0.500  0.184
Zn  0.703  0.342  0.361
Zn  0.858  0.140  0.719
Zn  0.982  0.342  0.639

=====

Calculated powder diffraction line list of Nd3CuSnSe7 for CuKα, from a cell relaxed with GGA-PBE.
Kinematic intensities with the Lorentz-polarization factor, no thermal factor.

The 10 most intense peaks (5° ≤ 2θ ≤ 70°), by angle:
2θ = 23.90°, 3.724 Å, rel. 55.7
2θ = 29.29°, 3.049 Å, rel. 41.9
2θ = 29.80°, 2.999 Å, rel. 49.0
2θ = 32.43°, 2.761 Å, rel. 38.2
2θ = 33.75°, 2.656 Å, rel. 100.0
2θ = 34.34°, 2.611 Å, rel. 57.1
2θ = 35.17°, 2.551 Å, rel. 34.7
2θ = 38.01°, 2.367 Å, rel. 25.5
2θ = 38.41°, 2.343 Å, rel. 36.4
2θ = 44.50°, 2.036 Å, rel. 30.2

Atomic structure:
Lattice parameters (Å, degrees): 10.622 10.622 6.344 90.00 90.00 120.00
Sites, in units of the cell vectors:
Nd  0.139  0.783  0.000
Nd  0.217  0.356  0.000
Nd  0.356  0.139  0.500
Nd  0.644  0.861  0.000
Nd  0.783  0.644  0.500
Nd  0.861  0.217  0.500
Cu  0.000  0.000  0.046
Cu  0.000  0.000  0.546
Sn  0.333  0.667  0.423
Sn  0.667  0.333  0.923
Se  0.083  0.514  0.248
Se  0.103  0.845  0.535
Se  0.155  0.258  0.535
Se  0.258  0.103  0.035
Se  0.333  0.667  0.821
Se  0.431  0.917  0.248
Se  0.486  0.569  0.248
Se  0.514  0.431  0.748
Se  0.569  0.083  0.748
Se  0.667  0.333  0.321
Se  0.742  0.897  0.535
Se  0.845  0.742  0.035
Se  0.897  0.155  0.035
Se  0.917  0.486  0.748

=====

Calculated powder diffraction line list of DySn3Pd4 for CuKα, from a cell relaxed with GGA-PBE.
Kinematic intensities with the Lorentz-polarization factor, no thermal factor.

The 10 most intense peaks (5° ≤ 2θ ≤ 70°), by angle:
2θ = 28.98°, 3.082 Å, rel. 19.2
2θ = 29.66°, 3.012 Å, rel. 25.9
2θ = 33.99°, 2.638 Å, rel. 31.4
2θ = 35.15°, 2.553 Å, rel. 93.2
2θ = 38.10°, 2.362 Å, rel. 48.5
2θ = 39.17°, 2.300 Å, rel. 47.5
2θ = 39.83°, 2.263 Å, rel. 52.6
2θ = 40.92°, 2.205 Å, rel. 100.0
2θ = 54.25°, 1.691 Å, rel. 16.8
2θ = 55.07°, 1.668 Å, rel. 14.6

Atomic structure:
Lattice parameters (Å, degrees): 5.704 4.407 6.272 90.00 92.52 90.00
Sites, in units of the cell vectors:
Dy  0.000  0.000  0.000
Sn  0.273  0.500  0.343
Sn  0.526  0.500  0.858
Sn  0.791  0.000  0.504
Pd  0.331  0.000  0.644
Pd  0.478  0.000  0.156
Pd  0.798  0.500  0.234
Pd  0.992  0.500  0.694

=====

Calculated powder diffraction line list of YZrMo2C3 for CuKα, from a cell relaxed with GGA-PBE.
Kinematic intensities with the Lorentz-polarization factor, no thermal factor.

The 10 most intense peaks (5° ≤ 2θ ≤ 70°), by angle:
2θ = 32.58°, 2.748 Å, rel. 41.5
2θ = 33.55°, 2.671 Å, rel. 42.2
2θ = 34.47°, 2.602 Å, rel. 100.0
2θ = 37.19°, 2.418 Å, rel. 84.3
2θ = 39.36°, 2.289 Å, rel. 11.9
2θ = 42.99°, 2.104 Å, rel. 25.7
2θ = 55.52°, 1.655 Å, rel. 16.0
2θ = 57.49°, 1.603 Å, rel. 28.9
2θ = 58.74°, 1.572 Å, rel. 15.8
2θ = 66.46°, 1.407 Å, rel. 11.5

Atomic structure:
Lattice parameters (Å, degrees): 5.893 5.893 5.579 108.39 108.39 32.62
Sites, in units of the cell vectors:
Y  0.000  0.000  0.000
Zr  0.234  0.234  0.637
Mo  0.464  0.464  0.450
Mo  0.760  0.760  0.180
C  0.341  0.341  0.063
C  0.616  0.616  0.333
C  0.875  0.875  0.564

=====

Calculated powder diffraction line list of HoErB for CuKα, from a cell relaxed with GGA-PBE.
Kinematic intensities with the Lorentz-polarization factor, no thermal factor.

The 5 most intense peaks (5° ≤ 2θ ≤ 70°), by angle:
2θ = 28.10°, 3.176 Å, rel. 100.0
2θ = 40.15°, 2.246 Å, rel. 85.6
2θ = 49.72°, 1.834 Å, rel. 28.4
2θ = 58.09°, 1.588 Å, rel. 14.5
2θ = 65.74°, 1.420 Å, rel. 37.0

Atomic structure:
Lattice parameters (Å, degrees): 4.492 4.492 4.492 60.00 60.00 60.00
Sites, in units of the cell vectors:
Ho  0.000  0.000  0.000
Er  0.500  0.500  0.500
B  0.750  0.750  0.750

=====

Calculated powder diffraction line list of TbY2Cu4Si2Ge2 for CuKα, from a cell relaxed with GGA-PBE.
Kinematic intensities with the Lorentz-polarization factor, no thermal factor.

The 10 most intense peaks (5° ≤ 2θ ≤ 70°), by angle:
2θ = 14.86°, 5.960 Å, rel. 10.7
2θ = 35.20°, 2.549 Å, rel. 100.0
2θ = 36.34°, 2.472 Å, rel. 84.3
2θ = 39.10°, 2.304 Å, rel. 14.1
2θ = 39.89°, 2.260 Å, rel. 12.8
2θ = 43.21°, 2.094 Å, rel. 32.1
2θ = 45.66°, 1.987 Å, rel. 21.0
2θ = 48.10°, 1.892 Å, rel. 13.7
2θ = 56.89°, 1.618 Å, rel. 14.4
2θ = 64.65°, 1.442 Å, rel. 24.3

Atomic structure:
Lattice parameters (Å, degrees): 7.942 7.942 7.942 149.43 130.85 59.00
Sites, in units of the cell vectors:
Tb  0.000  0.000  0.000
Y  0.371  0.871  0.500
Y  0.629  0.129  0.500
Cu  0.027  0.337  0.690
Cu  0.353  0.663  0.690
Cu  0.647  0.337  0.310
Cu  0.973  0.663  0.310
Si  0.317  0.500  0.817
Si  0.683  0.500  0.183
Ge  0.217  0.217  0.000
Ge  0.783  0.783  0.000

=====

Calculated powder diffraction line list of Cu2Ag3 for CuKα, from a cell relaxed with GGA-PBE.
Kinematic intensities with the Lorentz-polarization factor, no thermal factor.

The 10 most intense peaks (5° ≤ 2θ ≤ 70°), by angle:
2θ = 24.96°, 3.567 Å, rel. 7.8
2θ = 39.40°, 2.287 Å, rel. 100.0
2θ = 39.52°, 2.280 Å, rel. 99.4
2θ = 45.02°, 2.014 Å, rel. 33.8
2θ = 45.87°, 1.978 Å, rel. 31.2
2θ = 46.75°, 1.943 Å, rel. 30.2
2θ = 66.05°, 1.415 Å, rel. 9.8
2θ = 66.41°, 1.408 Å, rel. 9.7
2θ = 66.92°, 1.398 Å, rel. 19.5
2θ = 67.58°, 1.386 Å, rel. 18.3

Atomic structure:
Lattice parameters (Å, degrees): 4.897 4.897 8.862 90.59 90.59 46.75
Sites, in units of the cell vectors:
Cu  0.050  0.050  0.348
Cu  0.149  0.149  0.050
Cu  0.851  0.851  0.950
Cu  0.950  0.950  0.652
Ag  0.256  0.256  0.758
Ag  0.354  0.354  0.451
Ag  0.448  0.448  0.145
Ag  0.552  0.552  0.855
Ag  0.646  0.646  0.549
Ag  0.744  0.744  0.242

=====

Calculated powder diffraction line list of Sc4InCoC2 for CuKα, from a cell relaxed with GGA-PBE.
Kinematic intensities with the Lorentz-polarization factor, no thermal factor.

The 10 most intense peaks (5° ≤ 2θ ≤ 70°), by angle:
2θ = 12.49°, 7.086 Å, rel. 13.2
2θ = 31.20°, 2.866 Å, rel. 24.3
2θ = 33.73°, 2.657 Å, rel. 18.9
2θ = 36.67°, 2.451 Å, rel. 100.0
2θ = 38.10°, 2.362 Å, rel. 12.9
2θ = 44.98°, 2.015 Å, rel. 13.9
2θ = 50.04°, 1.823 Å, rel. 11.5
2θ = 55.54°, 1.655 Å, rel. 26.9
2θ = 68.40°, 1.371 Å, rel. 14.1
2θ = 69.33°, 1.355 Å, rel. 12.0

Atomic structure:
Lattice parameters (Å, degrees): 3.310 3.310 14.172 90.00 90.00 120.00
Sites, in units of the cell vectors:
Sc  0.000  0.000  0.138
Sc  0.000  0.000  0.862
Sc  0.333  0.667  0.314
Sc  0.333  0.667  0.686
In  0.000  0.000  0.500
Co  0.333  0.667  0.000
C  0.667  0.333  0.229
C  0.667  0.333  0.771

=====

Calculated powder diffraction line list of Be2Co3Si2Ir for CuKα, from a cell relaxed with GGA-PBE.
Kinematic intensities with the Lorentz-polarization factor, no thermal factor.

The 10 most intense peaks (5° ≤ 2θ ≤ 70°), by angle:
2θ = 16.20°, 5.471 Å, rel. 17.5
2θ = 22.97°, 3.871 Å, rel. 17.9
2θ = 28.24°, 3.160 Å, rel. 24.6
2θ = 32.72°, 2.737 Å, rel. 66.6
2θ = 36.71°, 2.448 Å, rel. 12.3
2θ = 40.37°, 2.234 Å, rel. 8.7
2θ = 46.95°, 1.935 Å, rel. 100.0
2θ = 55.69°, 1.650 Å, rel. 11.9
2θ = 58.40°, 1.580 Å, rel. 16.5
2θ = 68.58°, 1.368 Å, rel. 15.5

Atomic structure:
Lattice parameters (Å, degrees): 3.871 3.871 5.471 90.00 90.00 90.00
Sites, in units of the cell vectors:
Be  0.000  0.500  0.237
Be  0.500  0.000  0.763
Co  0.000  0.000  0.000
Co  0.000  0.000  0.500
Co  0.500  0.500  0.000
Si  0.000  0.500  0.765
Si  0.500  0.000  0.235
Ir  0.500  0.500  0.500

=====

Calculated powder diffraction line list of RbCdSbTe3 for CuKα, from a cell relaxed with GGA-PBE.
Kinematic intensities with the Lorentz-polarization factor, no thermal factor.

The 10 most intense peaks (5° ≤ 2θ ≤ 70°), by angle:
2θ = 10.92°, 8.106 Å, rel. 59.6
2θ = 25.51°, 3.492 Å, rel. 32.9
2θ = 26.64°, 3.347 Å, rel. 100.0
2θ = 29.74°, 3.004 Å, rel. 56.8
2θ = 30.33°, 2.947 Å, rel. 45.3
2θ = 36.59°, 2.456 Å, rel. 20.3
2θ = 37.25°, 2.414 Å, rel. 31.0
2θ = 39.38°, 2.288 Å, rel. 31.5
2θ = 46.47°, 1.954 Å, rel. 31.3
2θ = 50.50°, 1.807 Å, rel. 21.3

Atomic structure:
Lattice parameters (Å, degrees): 8.423 8.423 11.788 90.00 90.00 148.47
Sites, in units of the cell vectors:
Rb  0.250  0.750  0.750
Rb  0.750  0.250  0.250
Cd  0.046  0.954  0.250
Cd  0.954  0.046  0.750
Sb  0.500  0.500  0.000
Sb  0.500  0.500  0.500
Te  0.130  0.870  0.040
Te  0.130  0.870  0.460
Te  0.436  0.564  0.250
Te  0.564  0.436  0.750
Te  0.870  0.130  0.540
Te  0.870  0.130  0.960

=====

Calculated powder diffraction line list of SnPbW for CuKα, from a cell relaxed with GGA-PBE.
Kinematic intensities with the Lorentz-polarization factor, no thermal factor.

The 9 most intense peaks (5° ≤ 2θ ≤ 70°), by angle:
2θ = 22.84°, 3.893 Å, rel. 36.7
2θ = 26.44°, 3.371 Å, rel. 10.2
2θ = 37.73°, 2.384 Å, rel. 100.0
2θ = 44.57°, 2.033 Å, rel. 19.4
2θ = 46.66°, 1.947 Å, rel. 3.1
2θ = 54.43°, 1.686 Å, rel. 17.7
2θ = 59.78°, 1.547 Å, rel. 8.2
2θ = 61.50°, 1.508 Å, rel. 4.2
2θ = 68.13°, 1.376 Å, rel. 36.7

Atomic structure:
Lattice parameters (Å, degrees): 4.768 4.768 4.768 60.00 60.00 60.00
Sites, in units of the cell vectors:
Sn  0.000  0.000  0.000
Pb  0.500  0.500  0.500
W  0.750  0.750  0.750

=====

Calculated powder diffraction line list of Cu4Ag for CuKα, from a cell relaxed with GGA-PBE.
Kinematic intensities with the Lorentz-polarization factor, no thermal factor.

The 10 most intense peaks (5° ≤ 2θ ≤ 70°), by angle:
2θ = 23.87°, 3.728 Å, rel. 1.4
2θ = 25.75°, 3.460 Å, rel. 1.5
2θ = 27.78°, 3.212 Å, rel. 1.4
2θ = 36.94°, 2.433 Å, rel. 4.3
2θ = 38.75°, 2.324 Å, rel. 2.9
2θ = 41.91°, 2.156 Å, rel. 100.0
2θ = 48.49°, 1.878 Å, rel. 17.4
2θ = 48.86°, 1.864 Å, rel. 16.2
2θ = 49.00°, 1.859 Å, rel. 13.7
2θ = 63.72°, 1.460 Å, rel. 1.2

Atomic structure:
Lattice parameters (Å, degrees): 9.483 9.483 3.728 90.00 90.00 157.16
Sites, in units of the cell vectors:
Cu  0.000  0.000  0.000
Cu  0.092  0.908  0.500
Cu  0.193  0.807  0.000
Cu  0.408  0.592  0.000
Cu  0.500  0.500  0.500
Cu  0.592  0.408  0.000
Cu  0.807  0.193  0.000
Cu  0.908  0.092  0.500
Ag  0.305  0.695  0.500
Ag  0.695  0.305  0.500